(1)
SmScGa2Pt2: simulated XRD peak list (Cu Kα, 1.54184 Å), based on DFT lattice parameters and positions (GGA-PBE).
Kinematic intensities with the Lorentz-polarization factor, no thermal factor.

Main lines, by angle (2θ from 10° to 80°):
- 26.37°, I 14, hkl 0 0 2
- 26.64°, I 71, hkl 1 0 1
- 35.33°, I 100, hkl 0 1 2
- 40.57°, I 93, hkl 1 1 0
- 49.04°, I 17, hkl 1 1 2
- 54.87°, I 28, hkl 2 0 2
- 58.30°, I 24, hkl 1 1 3
- 69.92°, I 19, hkl 1 1 4
- 70.43°, I 26, hkl 1 2 2
- 73.82°, I 16, hkl 3 0 0

Cell: 4.4469 4.4469 6.7598 Å, 90.00 90.00 120.00°
Space group P-3m1 (No. 164)
Symmetry-distinct sites (fractional):
Sm: 0.0000 0.0000 0.0000
Sc: 0.0000 0.0000 0.5000
Ga: 0.3333 0.6667 0.2896
Pt: 0.3333 0.6667 0.7149

(2)
Ac2PrSb3Rh4: simulated XRD peak list (Cu Kα, 1.54184 Å), based on DFT lattice parameters and positions (GGA-PBE).
Kinematic intensities with the Lorentz-polarization factor, no thermal factor.

Main lines, by angle (2θ from 10° to 80°):
- 27.30°, I 14, hkl 1 1 0
- 30.75°, I 53, hkl 1 0 3
- 31.69°, I 100, hkl 1 1 2
- 38.99°, I 60, hkl 2 0 0
- 42.47°, I 13, hkl 1 1 4
- 44.89°, I 21, hkl 1 0 5
- 50.46°, I 27, hkl 2 1 3
- 56.33°, I 20, hkl 2 2 0
- 60.94°, I 17, hkl 2 1 5
- 66.09°, I 24, hkl 3 1 2

Cell: 4.620 4.620 11.225 Å, 90.00 90.00 90.00°
Space group P-4m2 (No. 115)
Symmetry-distinct sites (fractional):
Ac: 0.000 0.500 0.228
Pr: 0.000 0.000 0.500
Sb: 0.000 0.500 0.879
Sb: 0.500 0.500 0.500
Rh: 0.000 0.000 0.000
Rh: 0.000 0.500 0.648
Rh: 0.500 0.500 0.000

(3)
CsPuAs2O8: simulated XRD peak list (Cu Kα, 1.54184 Å), based on DFT lattice parameters and positions (GGA-PBE).
Kinematic intensities with the Lorentz-polarization factor, no thermal factor.

Main lines, by angle (2θ from 10° to 80°):
- 18.92°, I 13, hkl 0 1 2
- 21.96°, I 100, hkl 1 0 4
- 31.09°, I 36, hkl 1 1 0
- 31.42°, I 23, hkl 0 1 8
- 36.79°, I 10, hkl 1 1 6
- 38.39°, I 14, hkl 0 2 4
- 44.78°, I 15, hkl 2 0 8
- 50.19°, I 21, hkl 2 1 4
- 50.64°, I 13, hkl 1 1 12
- 55.52°, I 10, hkl 1 2 8

Cell: 5.7537 5.7537 27.7565 Å, 90.00 90.00 120.00°
Space group R-3m (No. 166, hexagonal axes)
Symmetry-distinct sites (fractional):
Cs: 0.0000 0.0000 0.0000
Pu: 0.0000 0.0000 0.5000
As: 0.0000 0.0000 0.2357
O: 0.0000 0.0000 0.2957
O: 0.0103 0.5051 0.8789

(4)
La7Y2Ho: simulated XRD peak list (Cu Kα, 1.54184 Å), based on DFT lattice parameters and positions (GGA-PBE).
Kinematic intensities with the Lorentz-polarization factor, no thermal factor.

Main lines, by angle (2θ from 10° to 80°):
- 29.47°, I 39, hkl 3 1 0
- 30.54°, I 52, hkl 2 0 -4
- 30.74°, I 100, hkl 6 0 -2
- 31.01°, I 94, hkl 1 1 2
- 42.96°, I 28, hkl 5 1 -4
- 45.47°, I 20, hkl 7 1 0
- 54.41°, I 19, hkl 8 0 -6
- 54.58°, I 18, hkl 1 1 -6
- 60.26°, I 15, hkl 2 2 -4
- 60.37°, I 29, hkl 6 2 -2

Cell: 17.745 3.609 11.708 Å, 90.00 109.22 90.00°
Space group C2/m (No. 12)
Symmetry-distinct sites (fractional):
La: 0.000 0.000 0.000
La: 0.096 0.500 0.300
La: 0.098 0.500 0.794
La: 0.211 0.500 0.112
Y: 0.207 0.500 0.596
Ho: 0.000 0.000 0.500